The following is a theoretical PXRD pattern of VCuO3. It was derived from a crystal structure in the Materials Project, relaxed with GGA+U, using Cu Kα.

Most intense lines, 2θ = 5–70°, in order of rising 2θ:
24.04°, intensity 21; 32.53°, intensity 100; 35.92°, intensity 65; 40.78°, intensity 18; 49.24°, intensity 34; 53.17°, intensity 40; 55.77°, intensity 11; 62.43°, intensity 30; 64.56°, intensity 27; 69.38°, intensity 10

Structure:
```
data_VCuO3
_cell_length_a 5.0003
_cell_length_b 5.0003
_cell_length_c 14.2615
_cell_angle_alpha 90.00
_cell_angle_beta 90.00
_cell_angle_gamma 120.00
_space_group_name_H-M_alt 'R -3'
_space_group_IT_number 148
_space_group_name_Hall '-R 3'
loop_
_atom_site_label
_atom_site_type_symbol
_atom_site_fract_x
_atom_site_fract_y
_atom_site_fract_z
V1 V 0.0000 0.0000 0.1472
Cu1 Cu 0.0000 0.0000 0.3596
O1 O 0.0097 0.6395 0.4239
```



The following is a theoretical PXRD pattern of Eu3MoO7. It was derived from a crystal structure in the Materials Project, relaxed with GGA+U, using Cu Kα.

Most intense lines, 2θ = 5–70°, in order of rising 2θ:
28.40°, intensity 100; 28.77°, intensity 87; 32.90°, intensity 23; 33.24°, intensity 43; 42.60°, intensity 11; 47.24°, intensity 17; 47.47°, intensity 47; 56.03°, intensity 11; 56.25°, intensity 37; 56.89°, intensity 13

Structure:
```
data_Eu3MoO7
_cell_length_a 7.5531
_cell_length_b 7.6963
_cell_length_c 10.8884
_cell_angle_alpha 90.00
_cell_angle_beta 90.00
_cell_angle_gamma 90.00
_space_group_name_H-M_alt 'P 21 21 21'
_space_group_IT_number 19
_space_group_name_Hall 'P 2ac 2ab'
loop_
_atom_site_label
_atom_site_type_symbol
_atom_site_fract_x
_atom_site_fract_y
_atom_site_fract_z
Eu1 Eu 0.0255 0.0052 0.2537
Eu2 Eu 0.2029 0.2504 0.9853
Eu3 Eu 0.2130 0.2443 0.5226
Mo1 Mo 0.0043 0.4833 0.7513
O1 O 0.0147 0.7576 0.1188
O2 O 0.0346 0.7459 0.3851
O3 O 0.0691 0.2507 0.7579
O4 O 0.1422 0.5481 0.8884
O5 O 0.1762 0.9678 0.8763
O6 O 0.1853 0.5350 0.6349
O7 O 0.1997 0.9649 0.6344
```